Structure and theoretical powder XRD pattern of Na2MnS2O8 (a crystal structure in Alexandria, relaxed with GGA+U; Cu Kα).
Neutral-atom scattering factors, no anomalous dispersion.

Crystal structure
```
data_Na2MnS2O8
_cell_length_a 10.2271
_cell_length_b 8.2838
_cell_length_c 8.9253
_cell_angle_alpha 90.00
_cell_angle_beta 117.46
_cell_angle_gamma 90.00
_space_group_name_H-M_alt 'C 1 2/c 1'
_space_group_IT_number 15
_space_group_name_Hall '-C 2yc'
loop_
_atom_site_label
_atom_site_type_symbol
_atom_site_fract_x
_atom_site_fract_y
_atom_site_fract_z
Na1 Na 0.1383 0.0500 0.4440
Mn1 Mn 0.0000 0.4160 0.7500
S1 S 0.1880 0.2904 0.1829
O1 O 0.1077 0.1342 0.1399
O2 O 0.1445 0.3944 0.0312
O3 O 0.1491 0.2360 0.7352
O4 O 0.1545 0.3771 0.3087
```

The 10 most intense peaks (10 to 80 degrees two-theta), low angle first:
| 2θ (°) | intensity |
| --- | --- |
| 14.5 | 43 |
| 22.5 | 56 |
| 22.6 | 28 |
| 27.8 | 100 |
| 28.4 | 52 |
| 30.5 | 32 |
| 30.9 | 88 |
| 31.2 | 31 |
| 32.5 | 39 |
| 43.4 | 29 |